Simulated X-ray powder pattern of Be16V2B for CuKα, from the PBE geometry in Alexandria.
Kinematic intensities with the Lorentz-polarization factor, no thermal factor.

Structure:
```
Be16V2B
1.0
3.589 2.072 3.506
-3.589 2.072 3.506
0.000 -4.144 3.506
Be V B
16 2 1
Direct
0.001 0.306 0.693
0.001 0.693 0.306
0.087 0.087 0.087
0.160 0.655 0.655
0.306 0.001 0.693
0.306 0.693 0.001
0.346 0.346 0.837
0.346 0.837 0.346
0.503 0.998 0.998
0.655 0.160 0.655
0.655 0.655 0.160
0.693 0.001 0.306
0.693 0.306 0.001
0.837 0.346 0.346
0.998 0.503 0.998
0.998 0.998 0.503
0.335 0.335 0.335
0.668 0.668 0.668
0.891 0.891 0.891
```

Largest 10 diffraction maxima, most intense first, 15 to 90 degrees two-theta:
35.81°, I 100.0
24.81°, I 85.7
51.21°, I 75.8
43.69°, I 48.4
16.57°, I 44.2
50.89°, I 40.7
22.14°, I 33.9
52.19°, I 30.1
25.40°, I 26.8
75.09°, I 24.1